[1]
The following is a computed XRD peak list of GdAl10Ru2. It was derived from a DFT-relaxed cell (PBE, the Materials Project), using Cu Kα, 1.54184 Å.

Most intense lines, 2θ from 5° to 70°, low angle first:
2theta  Rel. int.
16.2  28
17.3  37
26.1  31
27.6  55
28.0  32
34.2  31
36.6  28
39.4  32
39.6  74
40.4  100

Structural model:
Cell: 6.855 6.855 9.147 Å, 90.00 90.00 96.79°
Positions (direct):
Gd 0.126 0.874 0.750
Gd 0.874 0.126 0.250
Al 0.142 0.414 0.750
Al 0.158 0.842 0.100
Al 0.158 0.842 0.400
Al 0.219 0.481 0.250
Al 0.226 0.226 0.000
Al 0.226 0.226 0.500
Al 0.377 0.623 0.549
Al 0.377 0.623 0.951
Al 0.414 0.142 0.250
Al 0.481 0.219 0.750
Al 0.519 0.781 0.250
Al 0.586 0.858 0.750
Al 0.623 0.377 0.049
Al 0.623 0.377 0.451
Al 0.774 0.774 0.000
Al 0.774 0.774 0.500
Al 0.781 0.519 0.750
Al 0.842 0.158 0.600
Al 0.842 0.158 0.900
Al 0.858 0.586 0.250
Ru 0.000 0.500 0.000
Ru 0.000 0.500 0.500
Ru 0.500 0.000 0.000
Ru 0.500 0.000 0.500

[2]
The following is a computed XRD peak list of Ba. It was derived from a DFT-relaxed cell (PBE, the Materials Project), using Cu Kα, 1.54184 Å.

Most intense lines, 2θ from 5° to 70°, low angle first:
2theta  Rel. int.
22.5  100
32.0  82
39.5  31
45.9  15
51.7  42
57.1  31
66.9  10

Structural model:
Cell: 3.954 3.954 3.954 Å, 90.00 90.00 90.00°
Positions (direct):
Ba 0.000 0.000 0.000

[3]
The following is a computed XRD peak list of Y4CdIr. It was derived from a DFT-relaxed cell (PBE, the Materials Project), using Cu Kα, 1.54184 Å.

Most intense lines, 2θ from 5° to 70°, low angle first:
2theta  Rel. int.
11.2  20
22.5  24
32.1  29
34.1  100
37.2  38
38.9  16
51.3  11
57.1  31
58.4  15
68.2  12

Structural model:
Cell: 9.674 9.674 9.674 Å, 60.00 60.00 60.00°
Positions (direct):
Y 0.187 0.187 0.813
Y 0.187 0.813 0.187
Y 0.187 0.813 0.813
Y 0.400 0.400 0.400
Y 0.400 0.400 0.799
Y 0.400 0.799 0.400
Y 0.561 0.561 0.939
Y 0.561 0.939 0.561
Y 0.561 0.939 0.939
Y 0.799 0.400 0.400
Y 0.813 0.187 0.187
Y 0.813 0.187 0.813
Y 0.813 0.813 0.187
Y 0.939 0.561 0.561
Y 0.939 0.561 0.939
Y 0.939 0.939 0.561
Cd 0.170 0.170 0.170
Cd 0.170 0.170 0.491
Cd 0.170 0.491 0.170
Cd 0.491 0.170 0.170
Ir 0.175 0.608 0.608
Ir 0.608 0.175 0.608
Ir 0.608 0.608 0.175
Ir 0.608 0.608 0.608

[4]
The following is a computed XRD peak list of Mg7V. It was derived from a DFT-relaxed cell (PBE, the Materials Project), using Cu Kα, 1.54184 Å.

Most intense lines, 2θ from 5° to 70°, low angle first:
2theta  Rel. int.
17.6  7
20.4  4
29.0  3
34.1  4
35.7  100
41.4  49
45.3  2
46.6  1
54.7  1
60.0  30

Structural model:
Cell: 6.168 6.168 6.168 Å, 60.00 60.00 60.00°
Positions (direct):
Mg 0.000 0.000 0.000
Mg 0.000 0.000 0.500
Mg 0.000 0.500 0.000
Mg 0.000 0.500 0.500
Mg 0.500 0.000 0.000
Mg 0.500 0.000 0.500
Mg 0.500 0.500 0.000
V 0.500 0.500 0.500

[5]
The following is a computed XRD peak list of LiSn. It was derived from a DFT-relaxed cell (PBE, the Materials Project), using Cu Kα, 1.54184 Å.

Most intense lines, 2θ from 5° to 70°, low angle first:
2theta  Rel. int.
20.3  71
26.3  48
31.3  19
35.2  100
40.6  34
41.6  16
43.3  16
45.8  18
49.0  18
59.5  22

Structural model:
Cell: 13.411 13.411 13.411 Å, 160.92 160.92 27.11°
Positions (direct):
Li 0.038 0.288 0.750
Li 0.125 0.875 0.250
Li 0.288 0.038 0.250
Li 0.712 0.962 0.750
Li 0.875 0.125 0.750
Li 0.962 0.712 0.250
Sn 0.205 0.455 0.750
Sn 0.375 0.625 0.750
Sn 0.455 0.205 0.250
Sn 0.545 0.795 0.750
Sn 0.625 0.375 0.250
Sn 0.795 0.545 0.250